Starting from a DFT-relaxed cell (PBE+U, Alexandria), the X-ray diffraction stick pattern of UCrFeO6 was calculated for CuKα.
Lines closer than 0.1° are merged.

Top 6 peaks for 2θ from 15° to 90°, by intensity:
index	d [Å]	2θ (°)	I_rel
1 1 0	3.363	26.50	1000
1 0 3	2.595	34.56	743
1 0 1	4.234	20.98	730
2 1 3	1.753	52.17	645
1 1 2	2.724	32.88	273
2 1 1	2.073	43.65	252

Cell and atoms:
```
data_UCrFeO6
_chemical_formula_sum 'U2 Cr2 Fe2 O12'
_cell_length_a 4.756
_cell_length_b 4.756
_cell_length_c 9.291
_cell_angle_alpha 90.00
_cell_angle_beta 90.00
_cell_angle_gamma 90.00
_space_group_name_H-M_alt 'P 1'
_space_group_IT_number 1
loop_
_space_group_symop_operation_xyz
'x,y,z'
loop_
_atom_site_label
_atom_site_type_symbol
_atom_site_fract_x
_atom_site_fract_y
_atom_site_fract_z
U1 U 0.000 0.000 0.000
U2 U 0.500 0.500 0.500
Cr1 Cr 0.000 0.000 0.665
Cr2 Cr 0.500 0.500 0.165
Fe1 Fe 0.000 0.000 0.334
Fe2 Fe 0.500 0.500 0.834
O1 O 0.184 0.184 0.496
O2 O 0.195 0.195 0.173
O3 O 0.197 0.197 0.830
O4 O 0.303 0.697 0.330
O5 O 0.305 0.695 0.673
O6 O 0.316 0.684 0.996
O7 O 0.684 0.316 0.996
O8 O 0.695 0.305 0.673
O9 O 0.697 0.303 0.330
O10 O 0.803 0.803 0.830
O11 O 0.805 0.805 0.173
O12 O 0.816 0.816 0.496
```